Computed powder diffractogram of PrNdNi2Sb4 for Cu Kα X-rays, from DFT lattice parameters and positions (GGA-PBE).
Peak positions follow from Bragg's law for the DFT cell and can differ from measured ones.

Peak list (10 most intense, 10 to 90 degrees two-theta, by intensity)
index  Position (°2θ)  d (Å)  I_rel
1 1 2  34.0  2.639  100
2 0 0  40.8  2.209  38
0 0 3  27.1  3.290  21
3 1 2  70.0  1.344  20
1 1 1  30.0  2.979  18
2 1 3  54.2  1.694  15
2 2 0  59.1  1.562  12
1 0 5  50.7  1.801  11
2 0 3  49.7  1.834  11
2 1 5  67.0  1.396  10

Cell and atoms:
a = 4.4187 Å, b = 4.4187 Å, c = 9.8627 Å
α = 90.00°, β = 90.00°, γ = 90.00°
Space group P4mm (No. 99)
Asymmetric unit:
Pr 0.0000 0.0000 0.0000 (multiplicity 1)
Nd 0.5000 0.5000 0.5182 (multiplicity 1)
Ni 0.0000 0.5000 0.7586 (multiplicity 2)
Sb 0.0000 0.0000 0.6281 (multiplicity 1)
Sb 0.0000 0.5000 0.2596 (multiplicity 2)
Sb 0.5000 0.5000 0.8893 (multiplicity 1)